No. 1
Structure and computed X-ray diffraction stick pattern of Pm2MgSe4 (a GGA-PBE-relaxed structure; Cu Ka).
No peak broadening, texture or thermal motion is included.

The 6 most intense peaks (2θ from 10° to 90°), in order of falling intensity:
d (Å), intensity
2.218, 1000
4.551, 979
3.784, 798
2.045, 609
2.228, 507
3.079, 447

Cell and atoms:
Lattice parameters (Å, degrees): 7.6705 8.9104 13.9094 99.45 95.64 90.01
Space group P-1 (No. 2)
Asymmetric unit:
Pm  0.1316  0.4434  0.3021 [2 per cell]
Pm  0.1336  0.9578  0.3060 [2 per cell]
Pm  0.2578  0.1290  0.0008 [2 per cell]
Pm  0.3654  0.3004  0.6960 [2 per cell]
Mg  0.2509  0.6212  0.9947 [2 per cell]
Mg  0.3658  0.8001  0.7034 [2 per cell]
Se  0.0919  0.4105  0.0998 [2 per cell]
Se  0.1103  0.8915  0.1030 [2 per cell]
Se  0.1970  0.5469  0.6263 [2 per cell]
Se  0.1997  0.0162  0.6273 [2 per cell]
Se  0.3081  0.7189  0.3796 [2 per cell]
Se  0.3376  0.2198  0.3745 [2 per cell]
Se  0.3881  0.8408  0.8917 [2 per cell]
Se  0.4111  0.3588  0.8988 [2 per cell]

---

No. 2
Structure and computed X-ray diffraction stick pattern of Pm2MgSe4 (a GGA-PBE-relaxed structure; Cu Ka).
No peak broadening, texture or thermal motion is included.

The 6 most intense peaks (2θ from 10° to 90°), in order of falling intensity:
d (Å), intensity
2.760, 1000
2.404, 845
2.881, 583
2.773, 542
2.341, 385
1.897, 290

Cell and atoms:
Lattice parameters (Å, degrees): 8.7293 8.7293 9.1557 90.00 90.00 90.00
Space group I-42d (No. 122)
Asymmetric unit:
Pm  0.1319  0.2500  0.1250 [8 per cell]
Mg  0.0000  0.0000  0.5000 [4 per cell]
Se  0.0676  0.1971  0.8097 [16 per cell]